[1]
Computed powder diffractogram
Compound: LaAl5
Radiation: Cu Kα (λ = 1.5418 Å)
Structure: a cell relaxed with PBE

Atomic structure:
Lattice parameters (Å, degrees): 7.909 7.909 7.909 90.00 90.00 90.00
Space group F-43m (No. 216)
Unique sites:
La 0.000 0.000 0.000 [4 per cell]
Al 0.124 0.124 0.376 [16 per cell]
Al 0.250 0.250 0.750 [4 per cell]

Largest 8 diffraction maxima, low angle first, 2θ from 5° to 70°:
2θ = 19.4°, I = 48, (1 1 1)
2θ = 22.5°, I = 33, (2 0 0)
2θ = 32.0°, I = 60, (2 2 0)
2θ = 37.7°, I = 100, (3 1 1)
2θ = 39.5°, I = 20, (2 2 2)
2θ = 57.0°, I = 23, (4 2 2)
2θ = 60.9°, I = 33, (5 1 1)
2θ = 66.9°, I = 19, (4 4 0)

[2]
Computed powder diffractogram
Compound: LiLa4Al
Radiation: Cu Kα (λ = 1.5418 Å)
Structure: a cell relaxed with PBE

Atomic structure:
Lattice parameters (Å, degrees): 5.073 5.098 8.208 90.09 90.10 90.00
Space group P-1 (No. 2)
Unique sites:
Li 0.000 0.000 0.000 [1 per cell]
La 0.001 0.499 0.731 [2 per cell]
La 0.500 0.001 0.730 [2 per cell]
Al 0.500 0.500 0.500 [1 per cell]

Largest 8 diffraction maxima, low angle first, 2θ from 5° to 70°:
2θ = 21.7°, I = 57, (0 0 2)
2θ = 24.8°, I = 88, (1 1 0)
2θ = 33.1°, I = 100, (1 1 2)
2θ = 35.2°, I = 22, (0 2 0)
2θ = 35.4°, I = 22, (2 0 0)
2θ = 41.7°, I = 21, (0 2 2)
2θ = 41.9°, I = 21, (2 0 2)
2θ = 62.1°, I = 17, (3 1 2)

[3]
Computed powder diffractogram
Compound: LiLa6Al
Radiation: Cu Kα (λ = 1.5418 Å)
Structure: a cell relaxed with PBE

Atomic structure:
Lattice parameters (Å, degrees): 5.351 5.351 18.074 90.00 90.00 90.00
Space group I4/mmm (No. 139)
Unique sites:
Li 0.000 0.000 0.000 [2 per cell]
La 0.000 0.000 0.252 [4 per cell]
La 0.000 0.500 0.107 [8 per cell]
Al 0.000 0.000 0.500 [2 per cell]

Largest 8 diffraction maxima, low angle first, 2θ from 5° to 70°:
2θ = 25.5°, I = 34, (1 1 2)
2θ = 29.7°, I = 15, (0 0 6)
2θ = 30.8°, I = 100, (1 1 4)
2θ = 33.5°, I = 46, (2 0 0)
2θ = 45.3°, I = 19, (2 0 6)
2θ = 48.1°, I = 17, (2 2 0)
2θ = 56.4°, I = 15, (1 1 10)
2θ = 58.2°, I = 33, (3 1 4)

[4]
Computed powder diffractogram
Compound: Li2La2Al15
Radiation: Cu Kα (λ = 1.5418 Å)
Structure: a cell relaxed with PBE

Atomic structure:
Lattice parameters (Å, degrees): 9.4735 9.4735 13.7647 90.00 90.00 120.00
Space group R-3m (No. 166, hexagonal axes)
Unique sites:
Li 0.0000 0.0000 0.0992 [6 per cell]
La 0.0000 0.0000 0.3471 [6 per cell]
Al 0.0000 0.2929 0.0000 [18 per cell]
Al 0.0000 0.5000 0.5000 [9 per cell]
Al 0.0036 0.5018 0.1515 [18 per cell]

Largest 8 diffraction maxima, low angle first, 2θ from 5° to 70°:
2θ = 12.6°, I = 53, (1 0 1)
2θ = 22.6°, I = 27, (0 2 1)
2θ = 27.1°, I = 80, (1 1 3)
2θ = 32.7°, I = 39, (3 0 0)
2θ = 34.0°, I = 28, (0 2 4)
2θ = 38.0°, I = 48, (2 2 0)
2θ = 38.3°, I = 100, (0 3 3)
2θ = 55.1°, I = 28, (4 1 3)

[5]
Computed powder diffractogram
Compound: Li2La2AlO6
Radiation: Cu Kα (λ = 1.5418 Å)
Structure: a cell relaxed with PBE

Atomic structure:
Lattice parameters (Å, degrees): 5.5890 5.5890 14.2839 90.00 90.00 120.00
Space group R-3m (No. 166, hexagonal axes)
Unique sites:
Li 0.0000 0.0000 0.0701 [6 per cell]
La 0.0000 0.0000 0.2768 [6 per cell]
Al 0.0000 0.0000 0.5000 [3 per cell]
O 0.0286 0.5143 0.2502 [18 per cell]

Largest 8 diffraction maxima, low angle first, 2θ from 5° to 70°:
2θ = 22.2°, I = 100, (0 1 2)
2θ = 31.1°, I = 51, (1 0 4)
2θ = 32.0°, I = 89, (1 1 0)
2θ = 36.5°, I = 40, (0 1 5)
2θ = 39.3°, I = 66, (2 0 2)
2θ = 45.3°, I = 47, (0 2 4)
2θ = 60.1°, I = 24, (1 2 5)
2θ = 67.9°, I = 24, (1 1 9)

[6]
Computed powder diffractogram
Compound: LiLaAlPt3
Radiation: Cu Kα (λ = 1.5418 Å)
Structure: a cell relaxed with PBE

Atomic structure:
Lattice parameters (Å, degrees): 6.631 11.598 5.825 90.00 90.00 90.00
Space group Cmcm (No. 63)
Unique sites:
Li 0.000 0.050 0.250 [4 per cell]
La 0.000 0.292 0.250 [4 per cell]
Al 0.000 0.379 0.750 [4 per cell]
Pt 0.000 0.171 0.750 [4 per cell]
Pt 0.224 0.500 0.000 [8 per cell]

Largest 8 diffraction maxima, low angle first, 2θ from 5° to 70°:
2θ = 21.6°, I = 31, (0 2 1)
2θ = 30.8°, I = 22, (0 4 0)
2θ = 31.1°, I = 93, (2 2 0)
2θ = 34.5°, I = 100, (0 2 2)
2θ = 41.3°, I = 68, (2 0 2)
2θ = 41.4°, I = 21, (2 4 0)
2θ = 64.3°, I = 22, (2 6 2)
2θ = 66.9°, I = 23, (4 2 2)

[7]
Computed powder diffractogram
Compound: Li3La2AlSn4
Radiation: Cu Kα (λ = 1.5418 Å)
Structure: a cell relaxed with PBE

Atomic structure:
Lattice parameters (Å, degrees): 4.532 4.532 11.420 90.00 90.00 90.00
Space group P-4m2 (No. 115)
Unique sites:
Li 0.000 0.000 0.000 [1 per cell]
Li 0.000 0.500 0.630 [2 per cell]
La 0.000 0.500 0.257 [2 per cell]
Al 0.500 0.500 0.000 [1 per cell]
Sn 0.000 0.000 0.500 [1 per cell]
Sn 0.000 0.500 0.856 [2 per cell]
Sn 0.500 0.500 0.500 [1 per cell]

Largest 8 diffraction maxima, low angle first, 2θ from 5° to 70°:
2θ = 25.1°, I = 32, (1 0 2)
2θ = 28.9°, I = 41, (1 1 1)
2θ = 30.7°, I = 44, (1 0 3)
2θ = 32.0°, I = 100, (1 1 2)
2θ = 39.8°, I = 49, (2 0 0)
2θ = 44.4°, I = 29, (1 0 5)
2θ = 61.1°, I = 23, (2 1 5)
2θ = 67.4°, I = 24, (3 1 2)

[8]
Computed powder diffractogram
Compound: LaMg9Al2
Radiation: Cu Kα (λ = 1.5418 Å)
Structure: a cell relaxed with PBE

Atomic structure:
Lattice parameters (Å, degrees): 12.028 12.028 7.728 90.00 90.00 90.00
Space group I4_1/amd (No. 141, origin choice 2)
Unique sites:
La 0.000 0.250 0.375 [4 per cell]
Mg 0.000 0.250 0.875 [4 per cell]
Mg 0.122 0.050 0.680 [32 per cell]
Al 0.000 0.000 0.000 [8 per cell]

Largest 8 diffraction maxima, low angle first, 2θ from 5° to 70°:
2θ = 14.7°, I = 22, (2 0 0)
2θ = 20.1°, I = 42, (2 1 1)
2θ = 25.3°, I = 32, (1 1 2)
2θ = 29.2°, I = 48, (3 2 1)
2θ = 33.0°, I = 100, (3 1 2)
2θ = 33.3°, I = 59, (4 2 0)
2θ = 35.6°, I = 28, (1 0 3)
2θ = 59.4°, I = 28, (5 5 2)

[9]
Computed powder diffractogram
Compound: LaMg14Al
Radiation: Cu Kα (λ = 1.5418 Å)
Structure: a cell relaxed with PBE

Atomic structure:
Lattice parameters (Å, degrees): 6.5582 6.5582 10.2584 90.00 90.00 120.00
Space group P-6m2 (No. 187)
Unique sites:
La 0.0000 0.0000 0.0000 [1 per cell]
Mg 0.0164 0.5082 0.0000 [3 per cell]
Mg 0.1663 0.3327 0.2628 [6 per cell]
Mg 0.5048 0.0097 0.5000 [3 per cell]
Mg 0.6667 0.3333 0.2375 [2 per cell]
Al 0.0000 0.0000 0.5000 [1 per cell]

Largest 8 diffraction maxima, low angle first, 2θ from 5° to 70°:
2θ = 8.6°, I = 22, (0 0 1)
2θ = 15.6°, I = 24, (1 0 0)
2θ = 17.9°, I = 30, (1 0 1)
2θ = 31.5°, I = 27, (2 0 0)
2θ = 35.0°, I = 23, (0 0 4)
2θ = 36.2°, I = 100, (2 0 2)
2θ = 56.1°, I = 19, (2 2 0)
2θ = 67.8°, I = 19, (2 2 4)

[10]
Computed powder diffractogram
Compound: La5Mg2Al
Radiation: Cu Kα (λ = 1.5418 Å)
Structure: a cell relaxed with PBE

Atomic structure:
Lattice parameters (Å, degrees): 8.168 8.168 7.499 90.00 90.00 90.00
Space group I4mm (No. 107)
Unique sites:
La 0.000 0.000 0.000 [2 per cell]
La 0.250 0.250 0.251 [8 per cell]
Mg 0.000 0.500 0.001 [4 per cell]
Al 0.000 0.000 0.501 [2 per cell]

Largest 8 diffraction maxima, low angle first, 2θ from 5° to 70°:
2θ = 21.8°, I = 26, (2 0 0)
2θ = 31.0°, I = 56, (2 2 0)
2θ = 32.4°, I = 100, (2 0 2)
2θ = 39.4°, I = 11, (2 2 2)
2θ = 44.4°, I = 21, (4 0 0)
2θ = 56.0°, I = 42, (4 2 2)
2θ = 58.7°, I = 18, (2 2 4)
2θ = 67.9°, I = 12, (4 0 4)

[11]
Computed powder diffractogram
Compound: La8MgAl2
Radiation: Cu Kα (λ = 1.5418 Å)
Structure: a cell relaxed with PBE

Atomic structure:
Lattice parameters (Å, degrees): 17.563 5.188 9.038 90.00 120.92 90.00
Space group C2/m (No. 12)
Unique sites:
La 0.000 0.000 0.165 [4 per cell]
La 0.153 0.000 0.652 [4 per cell]
La 0.157 0.500 0.372 [4 per cell]
La 0.157 0.500 0.941 [4 per cell]
Mg 0.000 0.500 0.500 [2 per cell]
Al 0.200 0.000 0.200 [4 per cell]

Largest 8 diffraction maxima, low angle first, 2θ from 5° to 70°:
2θ = 23.0°, I = 17, (1 1 1)
2θ = 24.7°, I = 24, (3 1 0)
2θ = 30.3°, I = 24, (2 0 -3)
2θ = 31.0°, I = 26, (3 1 1)
2θ = 31.7°, I = 100, (5 1 -2)
2θ = 34.6°, I = 30, (0 2 0)
2θ = 35.8°, I = 22, (6 0 0)
2θ = 50.6°, I = 17, (6 2 0)

[12]
Computed powder diffractogram
Compound: La2MgAl3
Radiation: Cu Kα (λ = 1.5418 Å)
Structure: a cell relaxed with PBE

Atomic structure:
Lattice parameters (Å, degrees): 5.9360 5.9360 9.2960 90.00 90.00 120.00
Space group P6_3/mmc (No. 194)
Unique sites:
La 0.3333 0.6667 0.0777 [4 per cell]
Mg 0.0000 0.0000 0.0000 [2 per cell]
Al 0.1757 0.3514 0.7500 [6 per cell]

Largest 8 diffraction maxima, low angle first, 2θ from 5° to 70°:
2θ = 17.2°, I = 39, (1 0 0)
2θ = 19.7°, I = 39, (1 0 1)
2θ = 30.1°, I = 73, (1 1 0)
2θ = 33.8°, I = 100, (1 0 3)
2θ = 35.9°, I = 52, (1 1 2)
2θ = 36.3°, I = 39, (2 0 1)
2θ = 55.8°, I = 44, (2 1 3)
2θ = 62.6°, I = 23, (2 2 0)

[13]
Computed powder diffractogram
Compound: La2Mg3Al
Radiation: Cu Kα (λ = 1.5418 Å)
Structure: a cell relaxed with PBE

Atomic structure:
Lattice parameters (Å, degrees): 10.372 5.991 6.159 90.00 124.13 90.00
Space group C2/m (No. 12)
Unique sites:
La 0.132 0.000 0.399 [4 per cell]
Mg 0.000 0.500 0.000 [2 per cell]
Mg 0.250 0.250 0.000 [4 per cell]
Al 0.000 0.500 0.500 [2 per cell]

Largest 8 diffraction maxima, low angle first, 2θ from 5° to 70°:
2θ = 17.4°, I = 35, (0 0 1)
2θ = 18.1°, I = 56, (1 1 0)
2θ = 29.0°, I = 77, (1 1 1)
2θ = 29.8°, I = 76, (0 2 0)
2θ = 34.0°, I = 26, (2 0 1)
2θ = 34.7°, I = 100, (3 1 -2)
2θ = 35.1°, I = 36, (4 0 -1)
2θ = 52.4°, I = 29, (4 2 0)